Diffraction record for Fe5O3F7. The powder XRD pattern is theoretical, not measured: it uses a DFT-relaxed cell (GGA+U, the Materials Project) and λ = 1.5418 Å (Cu Kα).

Largest 10 diffraction maxima, by angle, 10° ≤ 2θ ≤ 90°:
2θ/deg, I (rel.)
25.92, 100
26.59, 92
34.20, 25
34.34, 52
34.46, 26
51.50, 31
52.23, 26
53.31, 18
54.77, 15
59.37, 18

Atomic structure:
```
30
Lattice="4.7991 0.0000 0.0000 0.1197 4.8017 0.0000 0.0093 0.1249 15.5671" Properties=species:S:1:pos:R:3 pbc="T T T"
Fe 0.0000 0.0000 0.0000
Fe 0.0309 0.0430 3.1106
Fe 0.1378 0.2561 9.3892
Fe 2.2912 2.6915 13.9929
Fe 2.3608 2.6281 4.7874
Fe 2.4641 2.4633 7.7836
Fe 2.5674 2.2985 10.7797
Fe 2.6369 2.2351 1.5743
Fe 4.7904 4.6705 6.1779
Fe 4.8973 4.8836 12.4566
O 0.9171 4.0906 14.0115
O 0.9995 3.9126 4.5345
O 1.6433 1.6260 9.2515
O 3.2848 3.3005 6.3156
O 3.9286 1.0139 11.0327
O 4.0110 0.8360 1.5556
F 1.0876 3.8789 7.8093
F 1.1282 3.7916 1.5381
F 1.1359 3.8724 11.0214
F 1.4472 1.5020 6.2354
F 1.4498 1.4113 0.0015
F 1.4897 1.5374 12.3786
F 1.4988 1.4809 3.2044
F 3.4293 3.4457 12.3628
F 3.4385 3.3891 3.1886
F 3.4783 3.5153 15.5656
F 3.4810 3.4246 9.3317
F 3.7922 1.0541 4.5457
F 3.7999 1.1350 14.0290
F 3.8406 1.0476 7.7579
```


Diffraction record for Fe6O5F7. The powder XRD pattern is theoretical, not measured: it uses a DFT-relaxed cell (GGA+U, the Materials Project) and λ = 1.5418 Å (Cu Kα).

Largest 10 diffraction maxima, by angle, 10° ≤ 2θ ≤ 90°:
2θ/deg, I (rel.)
26.13, 100
26.78, 97
34.35, 25
34.51, 52
34.62, 27
39.25, 20
51.72, 29
53.75, 17
59.59, 18
66.20, 20

Atomic structure:
```
18
Lattice="4.7435 0.0000 0.0000 0.1299 5.6898 0.0000 0.0885 0.6592 7.8324" Properties=species:S:1:pos:R:3 pbc="T T T"
Fe 0.0000 0.0000 0.0000
Fe 0.1535 3.8950 2.3603
Fe 0.2043 2.3108 4.9644
Fe 2.6313 5.1723 5.0838
Fe 2.6355 1.2740 2.5564
Fe 2.9637 3.4564 7.6037
O 1.6711 1.0599 4.3169
O 3.4581 1.2099 0.6980
O 3.5767 3.5914 5.7877
O 4.0432 4.0885 0.5298
O 4.0368 2.3102 3.3011
F 1.1368 2.2298 6.8814
F 1.2354 3.9420 4.2832
F 1.2648 5.6736 1.6617
F 1.7307 5.1362 6.8813
F 1.6880 2.7868 1.5813
F 3.5971 5.2218 3.2917
F 4.0294 0.6988 5.8996
```


Diffraction record for Fe5O8F2. The powder XRD pattern is theoretical, not measured: it uses a DFT-relaxed cell (GGA+U, the Materials Project) and λ = 1.5418 Å (Cu Kα).

Largest 10 diffraction maxima, by angle, 10° ≤ 2θ ≤ 90°:
2θ/deg, I (rel.)
27.12, 100
27.22, 100
35.37, 26
35.47, 79
38.80, 20
40.54, 21
53.51, 58
53.64, 30
68.07, 21
68.24, 21

Atomic structure:
```
30
Lattice="4.6405 0.0000 0.0000 0.0299 5.5371 0.0000 0.0351 2.6985 12.6705" Properties=species:S:1:pos:R:3 pbc="T T T"
Fe 0.0000 0.0000 0.0000
Fe 0.0748 1.6528 2.4645
Fe 0.1047 3.3475 5.0642
Fe 2.2579 3.8355 10.0229
Fe 2.2844 6.0041 5.1297
Fe 2.3352 2.7685 0.0000
Fe 2.4210 2.2315 7.5408
Fe 2.4475 4.4001 2.6476
Fe 4.6007 4.8880 7.6063
Fe 4.6306 6.5827 10.2060
O 0.9020 2.6181 10.9532
O 0.9162 4.8967 5.9149
O 0.9156 3.2129 3.3144
O 0.9455 1.5486 0.7011
O 1.4273 3.7314 8.2893
O 1.4745 5.4055 10.9116
O 1.4737 5.9922 3.3724
O 1.4602 2.0908 5.8371
O 3.2452 6.1447 6.8334
O 3.2317 2.2434 9.2980
O 3.2309 2.8301 1.7589
O 3.2781 4.5041 4.3811
O 3.7599 6.6869 11.9694
O 3.7898 5.0226 9.3560
O 3.7892 3.3389 6.7556
O 3.8034 5.6174 1.7173
F 0.9588 6.5362 8.3663
F 1.4350 4.3575 0.8300
F 3.2704 3.8780 11.8404
F 3.7466 1.6993 4.3042
```


Diffraction record for Fe3OF7. The powder XRD pattern is theoretical, not measured: it uses a DFT-relaxed cell (GGA+U, the Materials Project) and λ = 1.5418 Å (Cu Kα).

Largest 10 diffraction maxima, by angle, 10° ≤ 2θ ≤ 90°:
2θ/deg, I (rel.)
17.79, 43
19.12, 100
20.96, 19
34.19, 41
34.93, 10
42.67, 78
57.80, 17
60.00, 23
63.59, 17
63.84, 17

Atomic structure:
```
11
Lattice="3.0836 1.7803 4.6411 -3.0836 1.7803 4.6411 0.0000 -3.5606 4.6411" Properties=species:S:1:pos:R:3 pbc="T T T"
Fe 0.0000 -1.7118 4.6411
Fe -1.4824 0.8559 4.6411
Fe 1.4824 0.8559 4.6410
O 0.0000 0.0000 5.5994
F -1.6834 -0.9719 10.2049
F 0.0000 -1.9270 8.2092
F -1.6688 0.9635 8.2092
F 1.6834 -0.9719 10.2050
F 0.0000 1.9438 10.2050
F 0.0000 0.0000 12.8358
F 1.6688 0.9635 8.2092
```


Diffraction record for Fe10O11F9. The powder XRD pattern is theoretical, not measured: it uses a DFT-relaxed cell (GGA+U, the Materials Project) and λ = 1.5418 Å (Cu Kα).

Largest 10 diffraction maxima, by angle, 10° ≤ 2θ ≤ 90°:
2θ/deg, I (rel.)
26.44, 100
26.88, 99
34.74, 55
34.90, 51
40.00, 19
52.10, 29
52.46, 27
52.73, 29
52.85, 28
66.53, 19

Atomic structure:
```
30
Lattice="4.7274 0.0000 0.0000 0.0782 4.7306 0.0000 0.0800 0.0780 15.3636" Properties=species:S:1:pos:R:3 pbc="T T T"
Fe 0.0000 0.0000 0.0000
Fe 0.0332 0.1097 6.0275
Fe 0.0831 0.0626 12.2407
Fe 2.0694 2.3773 13.7888
Fe 2.0960 2.4457 1.5139
Fe 2.1477 2.5087 7.6406
Fe 2.1782 2.4950 10.7083
Fe 2.2613 2.3235 4.5815
Fe 4.5151 4.5249 3.1400
Fe 4.5700 4.5259 9.1473
O 0.7181 3.8065 1.5596
O 0.7983 3.8538 10.6922
O 0.7924 3.8889 7.5969
O 0.8611 3.9016 13.8002
O 0.8584 3.7553 4.5840
O 1.2799 1.4670 0.0087
O 1.3582 1.5252 12.2103
O 1.4014 1.5225 6.0884
O 3.0767 3.1751 3.0752
O 3.1186 3.2500 9.1701
O 3.6581 0.9083 4.5844
F 1.2373 1.4435 9.1660
F 1.2207 1.3776 3.0251
F 3.2206 3.4000 15.3214
F 3.2195 3.3813 12.2639
F 3.2276 3.3533 6.1370
F 3.5703 0.9151 1.4977
F 3.6322 0.9584 10.7071
F 3.6278 0.9786 7.6542
F 3.6946 1.0314 13.7876
```


Diffraction record for Fe2OF3. The powder XRD pattern is theoretical, not measured: it uses a DFT-relaxed cell (GGA+U, the Materials Project) and λ = 1.5418 Å (Cu Kα).

Largest 10 diffraction maxima, by angle, 10° ≤ 2θ ≤ 90°:
2θ/deg, I (rel.)
25.60, 88
26.50, 89
34.26, 100
38.82, 19
39.45, 16
50.94, 57
51.95, 51
52.61, 21
59.40, 17
65.17, 37

Atomic structure:
```
24
Lattice="3.4796 -3.3636 0.0000 3.4796 3.3636 0.0000 0.0000 0.0000 12.4482" Properties=species:S:1:pos:R:3 pbc="T T T"
Fe 0.0000 0.0000 0.0000
Fe 0.0000 0.0000 6.2241
Fe 3.4796 3.1982 9.3362
Fe 3.4796 0.1454 7.7798
Fe 3.4796 0.1454 10.8925
Fe 3.4796 -0.1454 1.5557
Fe 3.4796 -0.1454 4.6684
Fe 3.4796 -3.1982 3.1121
O 3.4796 2.1523 7.7392
O 3.4796 2.1523 10.9331
O 3.4796 -2.1523 1.5151
O 3.4796 -2.1523 4.7090
F 3.4796 1.9835 1.5871
F 3.4796 1.9835 4.6370
F 2.0244 0.0366 9.3362
F 2.0323 0.0000 0.0000
F 2.0323 0.0000 6.2241
F 2.0244 -0.0366 3.1121
F 4.9348 0.0366 9.3362
F 4.9269 0.0000 0.0000
F 4.9269 0.0000 6.2241
F 4.9348 -0.0366 3.1121
F 3.4796 -1.9835 7.8112
F 3.4796 -1.9835 10.8611
```


Diffraction record for Fe5O8F2. The powder XRD pattern is theoretical, not measured: it uses a DFT-relaxed cell (GGA+U, the Materials Project) and λ = 1.5418 Å (Cu Kα).

Largest 10 diffraction maxima, by angle, 10° ≤ 2θ ≤ 90°:
2θ/deg, I (rel.)
26.49, 100
28.08, 95
35.57, 52
35.67, 52
38.99, 19
53.04, 30
54.71, 41
61.68, 16
68.34, 19
68.52, 25

Atomic structure:
```
30
Lattice="4.6258 0.0000 0.0000 0.2812 7.5998 0.0000 0.5213 3.2635 9.1466" Properties=species:S:1:pos:R:3 pbc="T T T"
Fe 0.0000 0.0000 0.0000
Fe 0.2800 5.2948 1.8155
Fe 0.3239 2.9425 3.6944
Fe 2.2865 2.5655 0.7934
Fe 2.5525 2.9873 6.2900
Fe 2.6051 7.7993 2.6453
Fe 2.6851 5.4486 4.5629
Fe 3.0581 8.3548 8.2900
Fe 5.0661 5.6288 7.2490
Fe 5.1017 8.0442 5.4567
O 1.3324 4.9800 8.8248
O 1.1391 2.1397 5.2412
O 1.1588 4.6387 3.3851
O 1.2131 6.9840 1.5815
O 1.7715 4.7695 6.1402
O 2.0816 9.9971 7.9734
O 1.5510 1.9798 2.4909
O 1.5632 4.3449 0.6789
O 1.8372 7.2164 4.3339
O 3.2168 0.8870 1.0504
O 3.4809 3.6848 4.7299
O 3.7584 6.5166 8.3995
O 3.7804 8.9078 6.5724
O 3.5431 6.1206 2.9360
O 4.2001 6.3313 5.7053
O 3.9691 5.9017 0.2231
F 1.4610 7.4109 7.1192
F 4.0734 3.8673 7.4308
F 3.8891 3.4787 2.0059
F 4.1698 8.7260 3.7866
```


Diffraction record for Fe4OF7. The powder XRD pattern is theoretical, not measured: it uses a DFT-relaxed cell (GGA+U, the Materials Project) and λ = 1.5418 Å (Cu Kα).

Largest 10 diffraction maxima, by angle, 10° ≤ 2θ ≤ 90°:
2θ/deg, I (rel.)
26.00, 98
26.35, 100
33.24, 57
33.37, 57
38.20, 22
50.67, 50
50.98, 32
51.24, 32
53.48, 22
64.71, 23

Atomic structure:
```
24
Lattice="4.8104 0.0000 0.0000 0.0297 6.4878 0.0000 0.1426 3.2143 9.6366" Properties=species:S:1:pos:R:3 pbc="T T T"
Fe 0.0000 0.0000 0.0000
Fe 0.0834 3.0069 4.8180
Fe 2.2726 1.4748 2.5829
Fe 2.4010 4.7064 7.3777
Fe 2.4473 7.9663 7.2984
Fe 2.4303 4.7232 2.4334
Fe 4.7886 3.0499 0.0361
Fe 4.8726 6.3766 4.8481
O 0.8908 1.5690 3.9953
O 0.9943 4.6081 8.8077
F 1.0231 8.0519 8.7617
F 0.9640 4.6104 3.9374
F 1.3584 6.3002 1.5124
F 1.4287 3.1016 6.3125
F 1.4861 6.3394 6.3339
F 1.4103 3.1449 1.5096
F 3.3743 6.2964 3.4436
F 3.4435 6.3691 8.2574
F 3.4549 3.0465 8.2986
F 3.3972 3.1482 3.4697
F 3.7397 1.3690 1.0785
F 3.8766 8.0792 5.8611
F 3.9090 4.5972 5.8210
F 3.8679 4.8451 0.9617
```


Diffraction record for Fe2O3F. The powder XRD pattern is theoretical, not measured: it uses a DFT-relaxed cell (GGA+U, the Materials Project) and λ = 1.5418 Å (Cu Kα).

Largest 10 diffraction maxima, by angle, 10° ≤ 2θ ≤ 90°:
2θ/deg, I (rel.)
26.85, 100
35.51, 52
40.53, 14
53.24, 56
55.34, 15
61.86, 8
67.38, 10
67.61, 8
68.66, 11
87.69, 7

Atomic structure:
```
12
Lattice="4.6869 0.0000 0.0000 0.0000 2.9998 0.0000 -0.0014 0.0000 9.4090" Properties=species:S:1:pos:R:3 pbc="T T T"
Fe 0.0000 0.0000 0.0000
Fe 0.3187 0.0000 4.6549
Fe 2.3447 1.4999 7.1410
Fe 2.6623 1.4999 2.4855
O 0.9124 1.4999 8.5427
O 1.1721 1.4999 3.7875
O 1.6072 0.0000 6.1660
O 3.2591 0.0000 8.0046
O 3.5171 0.0000 3.3547
O 3.9420 1.4999 0.9696
F 1.6252 0.0000 1.4787
F 3.9749 1.4999 5.6661
```


Diffraction record for Fe10O11F9. The powder XRD pattern is theoretical, not measured: it uses a DFT-relaxed cell (GGA+U, the Materials Project) and λ = 1.5418 Å (Cu Kα).

Largest 10 diffraction maxima, by angle, 10° ≤ 2θ ≤ 90°:
2θ/deg, I (rel.)
26.11, 98
27.18, 93
34.78, 100
38.05, 16
39.43, 19
51.87, 44
53.01, 26
53.18, 26
60.14, 17
66.66, 29

Atomic structure:
```
30
Lattice="4.7293 0.0000 0.0000 -0.1870 4.7345 0.0000 -0.0348 -0.0376 15.3869" Properties=species:S:1:pos:R:3 pbc="T T T"
Fe 0.0000 0.0000 0.0000
Fe -0.0164 -0.0225 12.3055
Fe 1.8460 2.3365 13.8840
Fe 1.9035 2.4296 1.6669
Fe 1.9288 2.4313 10.7358
Fe 1.9698 2.5097 7.5694
Fe 2.0717 2.3379 4.6159
Fe 4.2759 4.4717 9.2358
Fe 4.3449 4.6787 3.0270
Fe 4.3686 4.7089 6.2089
O 0.4816 3.7985 7.6567
O 0.5135 3.7781 10.7592
O 0.5369 3.8474 1.5806
O 0.5691 3.8269 13.8532
O 1.1624 1.4278 3.2004
O 1.1764 1.4383 6.0614
O 1.1959 1.5161 0.0731
O 1.1958 1.4760 12.2753
O 2.8304 3.2079 9.1956
O 2.9331 3.2700 3.1776
O 2.9459 3.2847 6.0349
F 0.5463 3.8196 4.6198
F 1.0656 1.3733 9.1777
F 2.9736 3.3571 0.0357
F 2.9542 3.3263 12.3310
F 3.5048 0.8999 7.6880
F 3.5229 0.8924 10.7499
F 3.5428 0.9402 1.5520
F 3.5527 0.9369 13.8667
F 3.5947 0.8769 4.6171
```